Calculated X-ray diffraction stick pattern of MnGe4Ir for CuKα, from a structure optimized by DFT (GGA-PBE).
Peak positions follow from Bragg's law for the DFT cell and can differ from measured ones.

Top 12 peaks for 2θ from 5° to 70°, by angle:
Position (°2θ), I/Imax
16.0, 57.3
21.1, 46.7
26.6, 63.6
33.9, 42.1
34.5, 52.4
37.2, 82.7
37.7, 51.3
38.9, 100.0
43.0, 50.8
44.4, 49.1
45.0, 63.2
48.8, 37.0

Structural model:
abc: 5.536 5.883 6.031
angles: 90.00 90.00 90.00
Fractional positions:
Mn  0.000  0.000  0.000
Mn  0.500  0.000  0.500
Ge  0.172  0.210  0.344
Ge  0.172  0.790  0.656
Ge  0.275  0.338  0.844
Ge  0.275  0.662  0.156
Ge  0.725  0.338  0.156
Ge  0.725  0.662  0.844
Ge  0.828  0.210  0.656
Ge  0.828  0.790  0.344
Ir  0.500  0.000  0.000
Ir  0.500  0.500  0.500